Entry 1:
For PBr2N, a GGA-PBE-relaxed structure gives the simulated X-ray powder pattern in this record (Cu Kα X-rays).

Top 8 peaks for 5° ≤ 2θ ≤ 70°, low angle first:
2θ/deg	I_rel
22.2	100
24.6	75
24.7	59
25.4	74
26.0	43
27.1	96
29.3	46
29.8	73

abc: 9.667 10.587 12.278
angles: 101.15 112.22 93.40
Positions (direct):
P1 0.115 0.313 0.403
P2 0.152 0.476 0.248
P3 0.192 0.044 0.337
P4 0.305 0.011 0.145
P5 0.333 0.295 0.169
P6 0.667 0.705 0.831
P7 0.695 0.989 0.855
P8 0.808 0.956 0.663
P9 0.848 0.524 0.752
P10 0.885 0.687 0.597
Br1 0.027 0.087 0.741
Br2 0.072 0.482 0.864
Br3 0.130 0.724 0.638
Br4 0.144 0.861 0.992
Br5 0.221 0.352 0.603
Br6 0.298 0.665 0.302
Br7 0.302 0.010 0.520
Br8 0.461 0.379 0.077
Br9 0.473 0.046 0.844
Br10 0.493 0.666 0.641
Br11 0.507 0.334 0.359
Br12 0.527 0.954 0.156
Br13 0.539 0.621 0.923
Br14 0.698 0.990 0.480
Br15 0.702 0.335 0.698
Br16 0.779 0.648 0.397
Br17 0.856 0.139 0.008
Br18 0.870 0.276 0.362
Br19 0.928 0.518 0.136
Br20 0.973 0.913 0.259
N1 0.151 0.445 0.370
N2 0.167 0.190 0.342
N3 0.193 0.371 0.159
N4 0.286 0.145 0.106
N5 0.295 0.994 0.267
N6 0.705 0.006 0.733
N7 0.714 0.855 0.894
N8 0.807 0.629 0.841
N9 0.833 0.810 0.658
N10 0.849 0.555 0.630

Entry 2:
For CsMg14Zn, a GGA-PBE-relaxed structure gives the simulated X-ray powder pattern in this record (Cu Kα X-rays).

Top 8 peaks for 5° ≤ 2θ ≤ 70°, low angle first:
2θ/deg	I_rel
8.2	53
17.5	26
31.6	29
33.3	38
35.4	52
35.9	100
46.6	19
66.4	19

abc: 10.763 6.612 6.612
angles: 58.87 90.00 90.00
Positions (direct):
Cs1 0.000 0.000 0.000
Mg1 0.000 0.010 0.494
Mg2 0.000 0.494 0.010
Mg3 0.242 0.661 0.661
Mg4 0.270 0.170 0.170
Mg5 0.270 0.170 0.652
Mg6 0.270 0.652 0.170
Mg7 0.500 0.500 0.500
Mg8 0.500 0.502 0.993
Mg9 0.500 0.993 0.502
Mg10 0.500 0.997 0.997
Mg11 0.730 0.170 0.170
Mg12 0.730 0.170 0.652
Mg13 0.730 0.652 0.170
Mg14 0.758 0.661 0.661
Zn1 0.000 0.487 0.487

Repeat the second record exactly.
For CsMg14Zn, a GGA-PBE-relaxed structure gives the simulated X-ray powder pattern in this record (Cu Kα X-rays).

Top 8 peaks for 5° ≤ 2θ ≤ 70°, low angle first:
2θ/deg	I_rel
8.2	53
17.5	26
31.6	29
33.3	38
35.4	52
35.9	100
46.6	19
66.4	19

abc: 10.763 6.612 6.612
angles: 58.87 90.00 90.00
Positions (direct):
Cs1 0.000 0.000 0.000
Mg1 0.000 0.010 0.494
Mg2 0.000 0.494 0.010
Mg3 0.242 0.661 0.661
Mg4 0.270 0.170 0.170
Mg5 0.270 0.170 0.652
Mg6 0.270 0.652 0.170
Mg7 0.500 0.500 0.500
Mg8 0.500 0.502 0.993
Mg9 0.500 0.993 0.502
Mg10 0.500 0.997 0.997
Mg11 0.730 0.170 0.170
Mg12 0.730 0.170 0.652
Mg13 0.730 0.652 0.170
Mg14 0.758 0.661 0.661
Zn1 0.000 0.487 0.487